For TbY5Sc4, a cell relaxed with PBE gives the calculated PXRD pattern in this record (Cu Kα (weighted mean of Kα1 and Kα2)).

Top 8 peaks for 10° ≤ 2θ ≤ 80°, by angle:
h k l  Position (°2θ)  d_spacing  I (rel.)
0 0 1  11.6  7.635  16
2 1 1  25.4  3.507  21
2 2 1  31.0  2.889  73
3 0 1  32.6  2.745  100
3 0 2  38.6  2.331  14
4 0 0  40.9  2.207  17
3 0 4  57.5  1.602  15
5 2 2  61.6  1.506  19

Atomic structure:
a = 8.829 Å, b = 8.829 Å, c = 7.635 Å
α = 90.00°, β = 90.00°, γ = 90.00°
Sites, in units of the cell vectors:
Tb  0.250  0.250  0.124
Tb  0.750  0.750  0.876
Y  0.059  0.059  0.798
Y  0.059  0.441  0.798
Y  0.250  0.750  0.000
Y  0.441  0.059  0.798
Y  0.441  0.441  0.798
Y  0.559  0.559  0.202
Y  0.559  0.941  0.202
Y  0.750  0.250  0.000
Y  0.941  0.559  0.202
Y  0.941  0.941  0.202
Sc  0.021  0.750  0.589
Sc  0.250  0.521  0.411
Sc  0.250  0.979  0.411
Sc  0.479  0.750  0.589
Sc  0.521  0.250  0.411
Sc  0.750  0.021  0.589
Sc  0.750  0.479  0.589
Sc  0.979  0.250  0.411